Entry 1:
The following is a theoretical powder XRD pattern of Y2Cr4In. It was derived from a crystal structure in Alexandria, relaxed with GGA-PBE, using a wavelength of 1.5418 Å.
Kinematic intensities with the Lorentz-polarization factor, no thermal factor.

Crystal structure
```
Y2Cr4In
1.0
-2.4891 2.4891 7.5748
2.4891 -2.4891 7.5748
2.4891 2.4891 -7.5748
Y Cr In
2 4 1
direct
0.1187 0.1187 0.0000 Y
0.8813 0.8813 0.0000 Y
0.0000 0.5000 0.5000 Cr
0.3191 0.3191 0.0000 Cr
0.5000 0.0000 0.5000 Cr
0.6809 0.6809 0.0000 Cr
0.5000 0.5000 0.0000 In
```

Top 10 peaks for 2θ = 5–70°, by angle:
- 2θ = 11.68°, I = 77.5
- 2θ = 25.12°, I = 27.9
- 2θ = 25.30°, I = 80.3
- 2θ = 34.66°, I = 100.0
- 2θ = 34.79°, I = 27.4
- 2θ = 36.08°, I = 92.6
- 2θ = 50.90°, I = 63.8
- 2θ = 51.56°, I = 17.6
- 2θ = 51.95°, I = 30.6
- 2θ = 64.00°, I = 23.5

---

Entry 2:
The following is a theoretical powder XRD pattern of Ni21B6Pt2. It was derived from a crystal structure in Alexandria, relaxed with GGA-PBE, using a wavelength of 1.5418 Å.
Kinematic intensities with the Lorentz-polarization factor, no thermal factor.

Crystal structure
```
Ni21B6Pt2
1.0
0.0000 5.2681 5.2681
5.2681 0.0000 5.2681
5.2681 5.2681 0.0000
Ni B Pt
21 6 2
direct
0.0000 0.0000 0.0000 Ni
0.0000 0.0000 0.3380 Ni
0.0000 0.0000 0.6620 Ni
0.0000 0.3380 0.0000 Ni
0.0000 0.3380 0.6620 Ni
0.0000 0.6620 0.0000 Ni
0.0000 0.6620 0.3380 Ni
0.1537 0.6154 0.6154 Ni
0.3380 0.0000 0.0000 Ni
0.3380 0.0000 0.6620 Ni
0.3380 0.6620 0.0000 Ni
0.3846 0.3846 0.3846 Ni
0.3846 0.3846 0.8463 Ni
0.3846 0.8463 0.3846 Ni
0.6154 0.1537 0.6154 Ni
0.6154 0.6154 0.1537 Ni
0.6154 0.6154 0.6154 Ni
0.6620 0.0000 0.0000 Ni
0.6620 0.0000 0.3380 Ni
0.6620 0.3380 0.0000 Ni
0.8463 0.3846 0.3846 Ni
0.2724 0.2724 0.7276 B
0.2724 0.7276 0.2724 B
0.2724 0.7276 0.7276 B
0.7276 0.2724 0.2724 B
0.7276 0.2724 0.7276 B
0.7276 0.7276 0.2724 B
0.2500 0.2500 0.2500 Pt
0.7500 0.7500 0.7500 Pt
```

Top 10 peaks for 2θ = 5–70°, by angle:
- 2θ = 16.83°, I = 30.9
- 2θ = 23.89°, I = 25.3
- 2θ = 38.20°, I = 86.7
- 2θ = 42.01°, I = 81.9
- 2θ = 44.69°, I = 100.0
- 2θ = 48.90°, I = 43.0
- 2θ = 51.30°, I = 26.0
- 2θ = 55.13°, I = 16.0
- 2θ = 58.07°, I = 25.2
- 2θ = 66.40°, I = 8.6

---

Entry 3:
The following is a theoretical powder XRD pattern of BaPaVN4. It was derived from a crystal structure in Alexandria, relaxed with GGA-PBE, using a wavelength of 1.5418 Å.
Kinematic intensities with the Lorentz-polarization factor, no thermal factor.

Crystal structure
```
BaPaVN4
1.0
5.8741 0.0000 0.0000
0.0000 5.7610 0.0000
-2.3446 0.0000 7.1304
Ba Pa V N
2 2 2 8
direct
0.2048 0.2500 0.4241 Ba
0.7952 0.7500 0.5759 Ba
0.2830 0.2500 0.9508 Pa
0.7170 0.7500 0.0492 Pa
0.2593 0.7500 0.1690 V
0.7407 0.2500 0.8310 V
0.0437 0.7500 0.9453 N
0.0500 0.7500 0.3056 N
0.4663 0.5101 0.1836 N
0.4663 0.9899 0.1836 N
0.5337 0.0101 0.8164 N
0.5337 0.4899 0.8164 N
0.9500 0.2500 0.6944 N
0.9563 0.2500 0.0547 N
```

Top 10 peaks for 2θ = 5–70°, by angle:
- 2θ = 12.41°, I = 46.8
- 2θ = 22.18°, I = 100.0
- 2θ = 24.98°, I = 20.8
- 2θ = 29.51°, I = 84.4
- 2θ = 31.05°, I = 44.5
- 2θ = 32.08°, I = 24.9
- 2θ = 37.33°, I = 28.8
- 2θ = 37.57°, I = 29.2
- 2θ = 40.28°, I = 30.7
- 2θ = 45.25°, I = 25.8